This entry pairs a crystal structure of TiAlW2O8 with its calculated powder diffractogram. Radiation: a wavelength of 1.5418 Å. Structure: DFT lattice parameters and positions (PBE+U).
Lines closer than 0.1° are merged.

Largest 8 diffraction maxima, in order of rising 2θ, 5 to 70 degrees two-theta:
- hkl 0 1 0, d 5.581, I = 43.7
- hkl 0 0 2, d 4.610, I = 93.9
- hkl 1 1 -1, d 3.755, I = 82.3
- hkl 0 1 2, d 3.554, I = 92.6
- hkl 1 1 1, d 2.924, I = 100.0
- hkl 1 1 -3, d 2.899, I = 97.7
- hkl 1 2 -1, d 2.445, I = 57.0
- hkl 1 2 -3, d 2.155, I = 48.0

Structure:
Cell lengths 5.077, 5.581, 10.472 Å; angles 90.00, 118.31, 90.00 degrees
Fractional positions:
Ti1 0.000 0.137 0.250
Ti2 0.000 0.863 0.750
Al1 0.500 0.156 0.750
Al2 0.500 0.844 0.250
W1 0.257 0.345 0.002
W2 0.257 0.655 0.502
W3 0.743 0.345 0.498
W4 0.743 0.655 0.998
O1 0.207 0.375 0.616
O2 0.207 0.625 0.116
O3 0.225 0.113 0.136
O4 0.225 0.887 0.636
O5 0.278 0.374 0.378
O6 0.278 0.626 0.878
O7 0.290 0.124 0.858
O8 0.290 0.876 0.358
O9 0.710 0.124 0.642
O10 0.710 0.876 0.142
O11 0.722 0.374 0.122
O12 0.722 0.626 0.622
O13 0.775 0.113 0.364
O14 0.775 0.887 0.864
O15 0.793 0.375 0.884
O16 0.793 0.625 0.384